For BaZnCr4O8, a DFT-relaxed cell (GGA+U, the Materials Project) gives the computed PXRD pattern in this record (Cu Kα X-rays).

Main lines, in order of rising 2θ (10 to 80 degrees two-theta):
2θ (°), d_spacing, intensity, hkl
18.9, 4.693, 13, 1 0 0
30.9, 2.893, 100, 1 0 2
33.1, 2.710, 81, 1 1 0
35.3, 2.542, 14, 2 -1 1
45.9, 1.978, 35, 2 0 2
49.6, 1.837, 9, 0 0 4
57.7, 1.597, 34, 2 1 2
59.0, 1.564, 24, 3 0 0
60.9, 1.521, 32, 2 -1 4
77.9, 1.227, 13, 4 -1 2

Crystal structure
```
data_BaZnCr4O8
_chemical_formula_sum 'Ba1 Zn1 Cr4 O8'
_cell_length_a 5.4194
_cell_length_b 5.4194
_cell_length_c 7.3484
_cell_angle_alpha 90.00
_cell_angle_beta 90.00
_cell_angle_gamma 120.00
_symmetry_space_group_name_H-M 'P -3 1 m'
_symmetry_Int_Tables_number 162
_symmetry_space_group_name_Hall '-P 3 2'
loop_
_atom_site_label
_atom_site_fract_x
_atom_site_fract_y
_atom_site_fract_z
Ba1 0.0000 0.0000 0.0000
Zn1 0.0000 0.0000 0.5000
Cr1 0.3333 0.6667 0.2583
O1 0.0000 0.3142 0.3209
O2 0.3333 0.6667 0.0000
```